[1]
Theoretical powder XRD pattern of Nb5Ni41B12 for CuKα, from a GGA-PBE-relaxed structure.

Largest 12 diffraction maxima, in order of rising 2θ, 2θ from 15° to 90°:
| Position (°2θ) | I_rel |
| --- | --- |
| 38.05 | 32 |
| 41.85 | 39 |
| 44.52 | 100 |
| 48.71 | 26 |
| 51.09 | 23 |
| 51.87 | 8 |
| 57.83 | 9 |
| 71.35 | 4 |
| 73.90 | 9 |
| 76.42 | 27 |
| 78.29 | 12 |
| 83.23 | 5 |

Cell and atoms:
```
58
Lattice="3.7392 2.1588 12.2105 -3.7392 2.1588 12.2105 0.0000 -4.3177 12.2105" Properties=species:S:1:pos:R:3 pbc="T T T"
Nb 0.0000 0.0000 0.0000
Nb 0.0000 0.0000 4.5924
Nb 0.0000 0.0000 13.7489
Nb 0.0000 0.0000 22.8827
Nb 0.0000 0.0000 32.0392
Ni -1.2832 -2.0952 12.2105
Ni -2.4561 -0.0637 12.2105
Ni -2.0174 -1.1648 14.5638
Ni 0.0000 -1.9983 8.4481
Ni -1.7306 0.9992 8.4481
Ni -1.2738 -2.2063 18.3158
Ni -2.5476 0.0000 18.3158
Ni -2.4412 -1.4094 22.2961
Ni 0.0000 -2.8189 14.3355
Ni -2.4412 1.4094 14.3355
Ni 0.0000 0.0000 7.0510
Ni 0.0000 0.0000 11.2745
Ni -1.2616 -0.7284 20.3633
Ni 0.0000 -1.4567 16.2683
Ni -1.2616 0.7284 16.2683
Ni 1.2832 -2.0952 12.2105
Ni -1.1729 2.1588 12.2105
Ni 0.0000 -2.3295 22.0678
Ni -2.0174 1.1648 22.0678
Ni -1.7306 -0.9992 28.1836
Ni 1.2738 -2.2063 18.3158
Ni 0.0000 0.0000 18.3158
Ni -1.2738 2.2063 18.3158
Ni 1.7306 0.9991 8.4481
Ni 2.0174 -1.1648 14.5638
Ni 0.0000 2.3295 14.5638
Ni 2.4561 -0.0637 12.2105
Ni 1.1729 2.1588 12.2105
Ni 1.2616 -0.7284 20.3634
Ni 0.0000 1.4567 20.3634
Ni 1.2616 0.7284 16.2682
Ni 0.0000 0.0000 25.3571
Ni 0.0000 0.0000 29.5806
Ni 2.4412 -1.4094 22.2961
Ni 0.0000 2.8189 22.2961
Ni 2.4412 1.4094 14.3355
Ni 2.5476 0.0000 18.3158
Ni 1.2738 2.2063 18.3158
Ni 1.7306 -0.9991 28.1835
Ni 0.0000 1.9983 28.1835
Ni 2.0174 1.1648 22.0678
B -2.0068 -1.1587 16.6838
B 0.0000 -2.0237 10.5806
B -1.7526 1.0119 10.5806
B 0.0000 -2.3173 19.9478
B -2.0068 1.1587 19.9478
B -1.7526 -1.0119 26.0509
B 1.7526 1.0118 10.5806
B 2.0068 -1.1587 16.6838
B 0.0000 2.3173 16.6838
B 1.7526 -1.0118 26.0510
B 0.0000 2.0237 26.0510
B 2.0068 1.1587 19.9478
```

[2]
Theoretical powder XRD pattern of CdSi2 for CuKα, from a GGA-PBE-relaxed structure.

Largest 12 diffraction maxima, in order of rising 2θ, 2θ from 15° to 90°:
| Position (°2θ) | I_rel |
| --- | --- |
| 25.64 | 51 |
| 33.91 | 94 |
| 34.75 | 22 |
| 37.92 | 85 |
| 38.88 | 31 |
| 40.16 | 100 |
| 56.00 | 34 |
| 60.14 | 30 |
| 66.46 | 19 |
| 72.75 | 15 |
| 73.96 | 26 |
| 74.80 | 15 |

Cell and atoms:
```
3
Lattice="1.5386 0.8883 6.9492 -1.5386 0.8883 6.9492 0.0000 -1.7766 6.9492" Properties=species:S:1:pos:R:3 pbc="T T T"
Cd 0.0000 0.0000 0.0000
Si 0.0000 0.0000 4.3491
Si 0.0000 0.0000 16.4985
```

[3]
Theoretical powder XRD pattern of Y6CdOs2 for CuKα, from a GGA-PBE-relaxed structure.

Largest 12 diffraction maxima, in order of rising 2θ, 2θ from 15° to 90°:
| Position (°2θ) | I_rel |
| --- | --- |
| 16.89 | 16 |
| 18.66 | 40 |
| 22.51 | 27 |
| 31.57 | 37 |
| 33.15 | 42 |
| 34.30 | 60 |
| 35.02 | 100 |
| 37.85 | 28 |
| 38.32 | 27 |
| 39.19 | 25 |
| 45.85 | 23 |
| 59.29 | 22 |

Cell and atoms:
```
18
Lattice="-4.7539 4.7700 5.2482 4.7539 -4.7700 5.2482 4.7539 4.7700 -5.2482" Properties=species:S:1:pos:R:3 pbc="T T T"
Y 4.7539 2.8253 -2.6934
Y 2.6611 1.7560 0.0000
Y 6.8466 1.7560 0.0000
Y 1.7578 4.7700 -1.7857
Y 2.9961 0.0000 3.4625
Y 0.0000 1.9447 2.5548
Y 4.7539 2.8253 2.6934
Y 1.7578 4.7700 1.7857
Y 2.9961 0.0000 7.0340
Y -2.0927 3.0140 5.2482
Y 2.0927 3.0140 5.2482
Y 0.0000 1.9447 7.9416
Cd 0.0000 0.0000 0.0000
Cd 0.0000 0.0000 5.2482
Os 4.7539 0.0000 1.2478
Os 0.0000 3.1039 0.0000
Os 0.0000 6.4360 0.0000
Os 0.0000 4.7700 4.0005
```

[4]
Theoretical powder XRD pattern of DyTm5Mg4 for CuKα, from a GGA-PBE-relaxed structure.

Largest 12 diffraction maxima, in order of rising 2θ, 2θ from 15° to 90°:
| Position (°2θ) | I_rel |
| --- | --- |
| 20.84 | 19 |
| 24.78 | 30 |
| 25.10 | 11 |
| 30.00 | 10 |
| 32.60 | 100 |
| 35.33 | 45 |
| 41.37 | 14 |
| 42.41 | 9 |
| 50.82 | 16 |
| 56.35 | 15 |
| 61.69 | 32 |
| 68.29 | 8 |

Cell and atoms:
```
10
Lattice="3.5929 0.0000 0.0000 0.0000 3.5929 0.0000 0.0000 0.0000 21.3116" Properties=species:S:1:pos:R:3 pbc="T T T"
Dy 0.0000 0.0000 0.0000
Tm 1.7965 1.7965 2.4210
Tm 1.7965 1.7965 6.6337
Tm 1.7965 1.7965 10.6558
Tm 1.7965 1.7965 14.6779
Tm 1.7965 1.7965 18.8906
Mg 0.0000 0.0000 4.5609
Mg 0.0000 0.0000 8.6398
Mg 0.0000 0.0000 12.6719
Mg 0.0000 0.0000 16.7508
```

[5]
Theoretical powder XRD pattern of InHgI5 for CuKα, from a GGA-PBE-relaxed structure.

Largest 12 diffraction maxima, in order of rising 2θ, 2θ from 15° to 90°:
| Position (°2θ) | I_rel |
| --- | --- |
| 17.37 | 78 |
| 17.84 | 100 |
| 21.06 | 33 |
| 23.37 | 29 |
| 27.05 | 33 |
| 27.17 | 37 |
| 33.04 | 48 |
| 34.07 | 30 |
| 34.36 | 74 |
| 35.16 | 32 |
| 42.63 | 41 |
| 42.87 | 31 |

Cell and atoms:
```
14
Lattice="5.7529 -6.2271 0.0000 5.7529 6.2271 0.0000 -5.0031 0.0000 9.6225" Properties=species:S:1:pos:R:3 pbc="T T T"
In 2.0006 4.7346 7.2169
In 4.5021 -4.7346 2.4056
Hg 5.7529 0.0000 0.0000
Hg 3.2513 0.0000 4.8112
I -1.9231 0.4396 8.0983
I 2.9379 3.2625 5.0913
I 0.5785 -0.4396 3.2870
I 1.0633 3.2625 9.3424
I 4.5021 1.0709 2.4056
I 2.0006 -1.0709 7.2169
I 5.4394 -3.2625 0.2801
I 5.9242 0.4396 6.3355
I 3.5648 -3.2625 4.5312
I 8.4258 -0.4396 1.5242
```

[6]
Theoretical powder XRD pattern of Li2Ac2PrSn2 for CuKα, from a GGA-PBE-relaxed structure.

Largest 12 diffraction maxima, in order of rising 2θ, 2θ from 15° to 90°:
| Position (°2θ) | I_rel |
| --- | --- |
| 21.31 | 94 |
| 25.39 | 46 |
| 28.92 | 100 |
| 30.94 | 98 |
| 37.03 | 96 |
| 42.74 | 19 |
| 47.66 | 26 |
| 49.01 | 28 |
| 57.71 | 22 |
| 61.84 | 24 |
| 62.98 | 27 |
| 66.74 | 18 |

Cell and atoms:
```
7
Lattice="2.4277 1.4016 10.6083 -2.4277 1.4016 10.6083 0.0000 -2.8032 10.6083" Properties=species:S:1:pos:R:3 pbc="T T T"
Li 0.0000 0.0000 3.7015
Li 0.0000 0.0000 28.1233
Ac 0.0000 0.0000 12.0318
Ac 0.0000 0.0000 19.7931
Pr 0.0000 0.0000 15.9124
Sn 0.0000 0.0000 7.1780
Sn 0.0000 0.0000 24.6468
```

[7]
Theoretical powder XRD pattern of La3Pm6Th for CuKα, from a GGA-PBE-relaxed structure.

Largest 12 diffraction maxima, in order of rising 2θ, 2θ from 15° to 90°:
| Position (°2θ) | I_rel |
| --- | --- |
| 28.41 | 64 |
| 30.64 | 100 |
| 31.46 | 18 |
| 36.24 | 9 |
| 40.54 | 15 |
| 42.27 | 21 |
| 48.17 | 12 |
| 53.11 | 22 |
| 54.46 | 20 |
| 55.62 | 15 |
| 63.79 | 12 |
| 88.69 | 10 |

Cell and atoms:
```
10
Lattice="5.0543 2.9181 4.0094 -5.0543 2.9181 4.0094 0.0000 -5.8362 4.0094" Properties=species:S:1:pos:R:3 pbc="T T T"
La 0.0000 0.0000 0.0000
La 0.0000 0.0000 2.8855
La 0.0000 0.0000 9.0588
Pm -3.3740 0.0690 3.9686
Pm -1.6486 -2.8006 5.9464
Pm 1.6273 -2.9565 3.9686
Pm -1.6011 2.8281 5.9464
Pm 1.7467 2.8875 3.9686
Pm 3.2497 -0.0274 5.9464
Th 0.0000 0.0000 6.0473
```

[8]
Theoretical powder XRD pattern of Li3Ga5Pd2 for CuKα, from a GGA-PBE-relaxed structure.

Largest 12 diffraction maxima, in order of rising 2θ, 2θ from 15° to 90°:
| Position (°2θ) | I_rel |
| --- | --- |
| 16.74 | 22 |
| 24.85 | 100 |
| 26.20 | 13 |
| 36.78 | 27 |
| 36.93 | 31 |
| 42.67 | 23 |
| 43.03 | 36 |
| 44.54 | 25 |
| 44.67 | 32 |
| 48.76 | 28 |
| 66.77 | 18 |
| 84.59 | 14 |

Cell and atoms:
```
20
Lattice="-5.2947 6.3574 2.6349 5.2947 -6.3574 2.6349 5.2947 6.3574 -2.6349" Properties=species:S:1:pos:R:3 pbc="T T T"
Li 1.0717 2.7859 0.0000
Li 0.0000 0.0000 1.3174
Li 6.3664 3.5715 0.0000
Li -1.0717 2.7859 2.6349
Li 0.0000 0.0000 3.9523
Li 4.2230 3.5715 2.6349
Ga 3.9275 1.9764 0.0000
Ga 2.7195 6.3574 -1.3174
Ga 2.5752 0.0000 1.3174
Ga 5.2947 0.0000 1.3174
Ga 3.9275 -1.9764 2.6349
Ga 1.3672 8.3338 0.0000
Ga 0.0000 6.3574 1.3174
Ga 2.7195 6.3574 1.3174
Ga 2.5752 0.0000 3.9523
Ga 1.3672 4.3810 2.6349
Pd 8.9032 1.9493 0.0000
Pd 3.6085 4.4081 0.0000
Pd 1.6862 1.9493 2.6349
Pd -3.6085 4.4081 2.6349
```